[1]
Diffraction record for HfInPtRh. The powder XRD pattern is simulated, not measured: it uses a GGA-PBE-relaxed structure and Cu Kα (λ = 1.5418 Å).
Peak positions follow from Bragg's law for the DFT cell and can differ from measured ones.

Principal peaks in the range 10° ≤ 2θ ≤ 80°, in order of rising 2θ:
d/Å	2theta	Rel. int.
3.722	23.9	10
2.367	38.0	100
2.189	41.2	3
2.130	42.4	37
1.914	47.5	13
1.849	49.3	3
1.527	60.7	2
1.506	61.6	12
1.424	65.6	20
1.271	74.7	28

Structure:
a b c (Å): 4.871 4.871 4.871
angles (deg): 128.14 128.14 76.40
Fractional positions:
Hf: 0.000 0.000 0.000
In: 0.500 0.500 0.000
Pt: 0.250 0.750 0.500
Rh: 0.750 0.250 0.500

---

[2]
Diffraction record for Li2NdMg10. The powder XRD pattern is simulated, not measured: it uses a GGA-PBE-relaxed structure and Cu Kα (λ = 1.5418 Å).
Peak positions follow from Bragg's law for the DFT cell and can differ from measured ones.

Principal peaks in the range 10° ≤ 2θ ≤ 80°, in order of rising 2θ:
d/Å	2theta	Rel. int.
7.285	12.1	87
5.144	17.2	50
4.996	17.8	63
3.584	24.8	100
3.250	27.4	50
2.941	30.4	86
2.572	34.9	52
2.557	35.1	77
2.549	35.2	73
2.498	35.9	66

Structure:
a b c (Å): 10.287 7.831 7.800
angles (deg): 82.32 48.97 48.71
Fractional positions:
Li: 0.000 0.500 0.000
Li: 0.500 0.000 0.500
Nd: 0.000 0.000 0.000
Mg: 0.000 0.000 0.500
Mg: 0.005 0.351 0.649
Mg: 0.286 0.494 0.506
Mg: 0.351 0.005 0.995
Mg: 0.494 0.286 0.714
Mg: 0.500 0.500 0.000
Mg: 0.506 0.714 0.286
Mg: 0.649 0.995 0.005
Mg: 0.714 0.506 0.494
Mg: 0.995 0.649 0.351

---

[3]
Diffraction record for Tb3Nd4In2. The powder XRD pattern is simulated, not measured: it uses a GGA-PBE-relaxed structure and Cu Kα (λ = 1.5418 Å).
Peak positions follow from Bragg's law for the DFT cell and can differ from measured ones.

Principal peaks in the range 10° ≤ 2θ ≤ 80°, in order of rising 2θ:
d/Å	2theta	Rel. int.
2.862	31.3	100
2.835	31.6	94
2.788	32.1	43
2.710	33.1	47
2.093	43.2	18
1.943	46.7	30
1.656	55.5	17
1.629	56.5	14
1.592	57.9	17
1.588	58.1	16

Structure:
a b c (Å): 5.420 6.839 8.651
angles (deg): 103.51 90.05 113.34
Fractional positions:
Tb: 0.000 0.000 0.000
Tb: 0.420 0.839 0.647
Tb: 0.580 0.161 0.353
Nd: 0.117 0.234 0.657
Nd: 0.331 0.662 0.036
Nd: 0.669 0.338 0.964
Nd: 0.883 0.766 0.343
In: 0.207 0.414 0.317
In: 0.793 0.586 0.683

---

[4]
Diffraction record for CoHgPd6. The powder XRD pattern is simulated, not measured: it uses a GGA-PBE-relaxed structure and Cu Kα (λ = 1.5418 Å).
Peak positions follow from Bragg's law for the DFT cell and can differ from measured ones.

Principal peaks in the range 10° ≤ 2θ ≤ 80°, in order of rising 2θ:
d/Å	2theta	Rel. int.
7.944	11.1	5
3.544	25.1	7
2.643	33.9	9
2.289	39.4	100
1.986	45.7	15
1.980	45.8	33
1.586	58.2	3
1.402	66.7	19
1.400	66.8	10
1.382	67.8	3

Structure:
a b c (Å): 3.960 3.960 7.944
angles (deg): 90.00 90.00 90.00
Fractional positions:
Co: 0.000 0.000 0.000
Hg: 0.000 0.000 0.500
Pd: 0.000 0.500 0.234
Pd: 0.000 0.500 0.766
Pd: 0.500 0.000 0.234
Pd: 0.500 0.000 0.766
Pd: 0.500 0.500 0.000
Pd: 0.500 0.500 0.500

---

[5]
Diffraction record for Pm5GaNi2. The powder XRD pattern is simulated, not measured: it uses a GGA-PBE-relaxed structure and Cu Kα (λ = 1.5418 Å).
Peak positions follow from Bragg's law for the DFT cell and can differ from measured ones.

Principal peaks in the range 10° ≤ 2θ ≤ 80°, in order of rising 2θ:
d/Å	2theta	Rel. int.
3.380	26.4	27
2.834	31.6	21
2.765	32.4	12
2.738	32.7	100
2.522	35.6	36
2.473	36.3	56
1.742	52.5	13
1.609	57.2	21
1.379	68.0	14
1.373	68.3	12

Structure:
a b c (Å): 8.611 8.611 8.611
angles (deg): 125.99 125.99 79.90
Fractional positions:
Pm: 0.000 0.000 0.000
Pm: 0.021 0.521 0.823
Pm: 0.198 0.021 0.500
Pm: 0.302 0.802 0.823
Pm: 0.479 0.302 0.500
Pm: 0.500 0.500 0.000
Pm: 0.521 0.698 0.500
Pm: 0.698 0.198 0.177
Pm: 0.802 0.979 0.500
Pm: 0.979 0.479 0.177
Ga: 0.250 0.250 0.000
Ga: 0.750 0.750 0.000
Ni: 0.123 0.377 0.500
Ni: 0.377 0.877 0.255
Ni: 0.623 0.123 0.745
Ni: 0.877 0.623 0.500

---

[6]
Diffraction record for CsZnRe2O8. The powder XRD pattern is simulated, not measured: it uses a GGA-PBE-relaxed structure and Cu Kα (λ = 1.5418 Å).
Peak positions follow from Bragg's law for the DFT cell and can differ from measured ones.

Principal peaks in the range 10° ≤ 2θ ≤ 80°, in order of rising 2θ:
d/Å	2theta	Rel. int.
4.219	21.1	100
3.232	27.6	62
2.784	32.1	45
2.324	38.7	16
2.110	42.9	18
1.985	45.7	12
1.784	51.2	18
1.715	53.4	10
1.682	54.6	19
1.608	57.3	11

Structure:
a b c (Å): 5.569 5.569 8.710
angles (deg): 90.00 90.00 120.00
Fractional positions:
Cs: 0.000 0.000 0.000
Zn: 0.000 0.000 0.500
Re: 0.333 0.667 0.706
Re: 0.667 0.333 0.294
O: 0.069 0.334 0.643
O: 0.265 0.931 0.643
O: 0.333 0.667 0.909
O: 0.334 0.265 0.357
O: 0.666 0.735 0.643
O: 0.667 0.333 0.091
O: 0.735 0.069 0.357
O: 0.931 0.666 0.357

---

[7]
Diffraction record for ErGeTe2. The powder XRD pattern is simulated, not measured: it uses a GGA-PBE-relaxed structure and Cu Kα (λ = 1.5418 Å).
Peak positions follow from Bragg's law for the DFT cell and can differ from measured ones.

Principal peaks in the range 10° ≤ 2θ ≤ 80°, in order of rising 2θ:
d/Å	2theta	Rel. int.
3.747	23.7	6
3.067	29.1	100
2.200	41.0	40
2.139	42.3	36
1.788	51.1	21
1.533	60.4	12
1.387	67.5	18
1.356	69.3	16
1.270	74.7	7
1.258	75.6	13

Structure:
a b c (Å): 7.344 7.344 7.344
angles (deg): 34.86 34.86 34.86
Fractional positions:
Er: 0.000 0.000 0.000
Ge: 0.500 0.500 0.500
Te: 0.247 0.247 0.247
Te: 0.753 0.753 0.753

---

[8]
Diffraction record for Sc2ZnGa8. The powder XRD pattern is simulated, not measured: it uses a GGA-PBE-relaxed structure and Cu Kα (λ = 1.5418 Å).
Peak positions follow from Bragg's law for the DFT cell and can differ from measured ones.

Principal peaks in the range 10° ≤ 2θ ≤ 80°, in order of rising 2θ:
d/Å	2theta	Rel. int.
3.358	26.5	7
2.610	34.4	10
2.325	38.7	100
2.075	43.6	41
1.904	47.8	9
1.536	60.2	8
1.467	63.4	13
1.403	66.7	12
1.284	73.8	10
1.241	76.8	25

Structure:
a b c (Å): 4.150 4.150 11.426
angles (deg): 90.00 90.00 90.00
Fractional positions:
Sc: 0.000 0.000 0.179
Sc: 0.000 0.000 0.821
Zn: 0.000 0.000 0.500
Ga: 0.000 0.500 0.000
Ga: 0.000 0.500 0.362
Ga: 0.000 0.500 0.638
Ga: 0.500 0.000 0.000
Ga: 0.500 0.000 0.362
Ga: 0.500 0.000 0.638
Ga: 0.500 0.500 0.184
Ga: 0.500 0.500 0.816

---

[9]
Diffraction record for K2SnBr2Cl2. The powder XRD pattern is simulated, not measured: it uses a GGA-PBE-relaxed structure and Cu Kα (λ = 1.5418 Å).
Peak positions follow from Bragg's law for the DFT cell and can differ from measured ones.

Principal peaks in the range 10° ≤ 2θ ≤ 80°, in order of rising 2θ:
d/Å	2theta	Rel. int.
7.105	12.5	100
4.182	21.2	33
3.553	25.1	29
3.332	26.8	38
2.911	30.7	35
2.897	30.9	35
2.857	31.3	35
2.846	31.4	34
2.568	34.9	48
2.189	41.2	26

Structure:
a b c (Å): 4.379 7.941 8.228
angles (deg): 115.32 105.40 90.26
Fractional positions:
K: 0.156 0.113 0.315
K: 0.844 0.887 0.685
Sn: 0.000 0.500 0.000
Br: 0.478 0.745 0.952
Br: 0.522 0.255 0.048
Cl: 0.192 0.748 0.384
Cl: 0.808 0.252 0.616

---

[10]
Diffraction record for K3Tl4Bi2Pb2. The powder XRD pattern is simulated, not measured: it uses a GGA-PBE-relaxed structure and Cu Kα (λ = 1.5418 Å).
Peak positions follow from Bragg's law for the DFT cell and can differ from measured ones.

Principal peaks in the range 10° ≤ 2θ ≤ 80°, in order of rising 2θ:
d/Å	2theta	Rel. int.
4.782	18.6	58
3.872	23.0	19
3.009	29.7	31
2.761	32.4	100
2.600	34.5	80
2.248	40.1	27
1.893	48.1	30
1.619	56.9	20
1.594	57.9	20
1.561	59.2	34

Structure:
a b c (Å): 5.521 5.521 15.488
angles (deg): 90.00 90.00 120.00
Fractional positions:
K: 0.000 0.000 0.000
K: 0.000 0.000 0.261
K: 0.000 0.000 0.739
Tl: 0.333 0.667 0.362
Tl: 0.333 0.667 0.916
Tl: 0.667 0.333 0.084
Tl: 0.667 0.333 0.638
Bi: 0.333 0.667 0.140
Bi: 0.667 0.333 0.860
Pb: 0.333 0.667 0.563
Pb: 0.667 0.333 0.437

---

[11]
Diffraction record for KHg12. The powder XRD pattern is simulated, not measured: it uses a GGA-PBE-relaxed structure and Cu Kα (λ = 1.5418 Å).
Peak positions follow from Bragg's law for the DFT cell and can differ from measured ones.

Principal peaks in the range 10° ≤ 2θ ≤ 80°, in order of rising 2θ:
d/Å	2theta	Rel. int.
6.028	14.7	100
4.262	20.8	29
3.480	25.6	70
2.696	33.2	30
2.461	36.5	75
2.278	39.6	46
2.131	42.4	40
1.672	54.9	22
1.507	61.5	27
1.285	73.7	30

Structure:
a b c (Å): 8.525 8.525 8.525
angles (deg): 90.00 90.00 90.00
Fractional positions:
K: 0.000 0.000 0.000
Hg: 0.000 0.250 0.500
Hg: 0.000 0.500 0.250
Hg: 0.000 0.500 0.750
Hg: 0.000 0.750 0.500
Hg: 0.250 0.000 0.500
Hg: 0.250 0.500 0.000
Hg: 0.500 0.000 0.250
Hg: 0.500 0.000 0.750
Hg: 0.500 0.250 0.000
Hg: 0.500 0.750 0.000
Hg: 0.750 0.000 0.500
Hg: 0.750 0.500 0.000

---

[12]
Diffraction record for PuPa2Se4. The powder XRD pattern is simulated, not measured: it uses a GGA-PBE-relaxed structure and Cu Kα (λ = 1.5418 Å).
Peak positions follow from Bragg's law for the DFT cell and can differ from measured ones.

Principal peaks in the range 10° ≤ 2θ ≤ 80°, in order of rising 2θ:
d/Å	2theta	Rel. int.
3.533	25.2	98
2.747	32.6	53
2.732	32.8	100
2.315	38.9	67
2.309	39.0	34
1.941	46.8	17
1.932	47.0	36
1.845	49.4	35
1.699	54.0	23
1.403	66.7	22

Structure:
a b c (Å): 7.495 7.495 7.495
angles (deg): 109.64 109.64 109.13
Fractional positions:
Pu: 0.000 0.000 0.000
Pu: 0.750 0.250 0.500
Pa: 0.253 0.125 0.628
Pa: 0.375 0.747 0.872
Pa: 0.497 0.625 0.372
Pa: 0.875 0.503 0.128
Se: 0.125 0.377 0.903
Se: 0.127 0.375 0.403
Se: 0.277 0.873 0.249
Se: 0.473 0.222 0.097
Se: 0.623 0.527 0.749
Se: 0.625 0.028 0.751
Se: 0.778 0.875 0.251
Se: 0.972 0.723 0.597

---

[13]
Diffraction record for Sr6TlAu. The powder XRD pattern is simulated, not measured: it uses a GGA-PBE-relaxed structure and Cu Kα (λ = 1.5418 Å).
Peak positions follow from Bragg's law for the DFT cell and can differ from measured ones.

Principal peaks in the range 10° ≤ 2θ ≤ 80°, in order of rising 2θ:
d/Å	2theta	Rel. int.
5.759	15.4	100
4.271	20.8	61
3.444	25.9	88
3.229	27.6	33
2.676	33.5	49
2.674	33.5	46
2.487	36.1	30
2.316	38.9	23
2.251	40.1	55
1.424	65.6	25

Structure:
a b c (Å): 7.794 7.798 8.616
angles (deg): 63.13 63.18 60.04
Fractional positions:
Sr: 0.064 0.415 0.256
Sr: 0.235 0.936 0.744
Sr: 0.415 0.765 0.256
Sr: 0.585 0.235 0.744
Sr: 0.765 0.064 0.256
Sr: 0.936 0.585 0.744
Tl: 0.500 0.500 0.000
Au: 0.000 0.000 0.500

---

[14]
Diffraction record for CoP2RuN. The powder XRD pattern is simulated, not measured: it uses a GGA-PBE-relaxed structure and Cu Kα (λ = 1.5418 Å).
Peak positions follow from Bragg's law for the DFT cell and can differ from measured ones.

Principal peaks in the range 10° ≤ 2θ ≤ 80°, in order of rising 2θ:
d/Å	2theta	Rel. int.
6.643	13.3	100
3.474	25.6	23
3.259	27.4	33
2.493	36.0	24
2.266	39.8	80
2.257	39.9	38
1.989	45.6	19
1.891	48.1	20
1.736	52.7	56
1.491	62.3	18

Structure:
a b c (Å): 3.765 3.765 7.143
angles (deg): 110.01 110.01 42.94
Fractional positions:
Co: 0.000 0.000 0.000
P: 0.362 0.362 0.563
P: 0.766 0.766 0.143
Ru: 0.550 0.550 0.338
N: 0.907 0.907 0.717